(1)
Simulated powder X-ray diffraction pattern of BaY2Si2O7F2 for Cu Kα, from a structure optimized by DFT (PBE).
Intensities are scaled so that the largest is 100.

Atomic structure:
```
data_BaY2Si2O7F2
_cell_length_a 5.2268
_cell_length_b 6.9171
_cell_length_c 11.8769
_cell_angle_alpha 92.99
_cell_angle_beta 102.11
_cell_angle_gamma 111.35
_symmetry_space_group_name_H-M 'P -1'
_symmetry_Int_Tables_number 2
_symmetry_space_group_name_Hall '-P 1'
loop_
_atom_site_label
_atom_site_fract_x
_atom_site_fract_y
_atom_site_fract_z
Ba1 0.0956 0.3816 0.2498
Y1 0.1747 0.2022 0.6232
Y2 0.3178 0.1946 0.9558
Si1 0.2718 0.9314 0.2182
Si2 0.3716 0.7513 0.5659
O1 0.0228 0.2722 0.7898
O2 0.1263 0.8524 0.5556
O3 0.1731 0.0581 0.1165
O4 0.2953 0.5538 0.6401
O5 0.3184 0.0695 0.3474
O6 0.4262 0.7024 0.4403
O7 0.4508 0.1217 0.7841
F1 0.2884 0.8276 0.9433
F2 0.3322 0.4813 0.0647
```

Principal peaks in the range 5° ≤ 2θ ≤ 70°, in order of rising 2θ:
26.10°, I 73, hkl 1 0 -3
27.24°, I 64, hkl 1 0 2
27.49°, I 56, hkl 1 1 0
27.98°, I 100, hkl -1 2 1
28.38°, I 35, hkl 1 -2 1
30.11°, I 54, hkl 0 2 1
31.66°, I 35, hkl 1 -2 2
34.32°, I 52, hkl -2 1 1
45.18°, I 38, hkl 1 2 -4
45.84°, I 35, hkl -2 2 4


(2)
Simulated powder X-ray diffraction pattern of Ba2Y3Si2O8F5 for Cu Kα, from a structure optimized by DFT (PBE).
Intensities are scaled so that the largest is 100.

Atomic structure:
```
data_Ba2Y3Si2O8F5
_cell_length_a 8.9926
_cell_length_b 12.8023
_cell_length_c 5.1580
_cell_angle_alpha 90.00
_cell_angle_beta 90.00
_cell_angle_gamma 90.00
_symmetry_space_group_name_H-M 'P b a 2'
_symmetry_Int_Tables_number 32
_symmetry_space_group_name_Hall 'P 2 -2ab'
loop_
_atom_site_label
_atom_site_fract_x
_atom_site_fract_y
_atom_site_fract_z
Ba1 0.1479 0.2078 0.0000
Y1 0.0000 0.5000 0.9880
Y2 0.1770 0.9396 0.5504
Si1 0.0737 0.6573 0.5547
O1 0.0780 0.6425 0.2408
O2 0.0904 0.3739 0.6792
O3 0.1198 0.7744 0.6572
O4 0.1858 0.5748 0.7115
F1 0.0000 0.0000 0.8354
F2 0.0624 0.0896 0.3824
F3 0.2286 0.4241 0.1534
```

Principal peaks in the range 5° ≤ 2θ ≤ 70°, in order of rising 2θ:
20.99°, I 30, hkl 2 1 0
22.13°, I 34, hkl 0 2 1
24.27°, I 35, hkl 1 2 1
27.22°, I 100, hkl 2 1 1
28.89°, I 82, hkl 1 3 1
29.63°, I 45, hkl 1 4 0
29.83°, I 39, hkl 2 2 1
32.95°, I 28, hkl 0 4 1
46.31°, I 46, hkl 1 4 2
47.18°, I 27, hkl 1 6 1


(3)
Simulated powder X-ray diffraction pattern of BaPdF4 for Cu Kα, from a structure optimized by DFT (PBE).
Intensities are scaled so that the largest is 100.

Atomic structure:
```
data_BaPdF4
_cell_length_a 6.2814
_cell_length_b 6.2814
_cell_length_c 11.0558
_cell_angle_alpha 90.00
_cell_angle_beta 90.00
_cell_angle_gamma 90.00
_symmetry_space_group_name_H-M 'I 4/m c m'
_symmetry_Int_Tables_number 140
_symmetry_space_group_name_Hall '-I 4 2c'
loop_
_atom_site_label
_atom_site_fract_x
_atom_site_fract_y
_atom_site_fract_z
Ba1 0.0000 0.0000 0.2500
Pd1 0.0000 0.5000 0.0000
F1 0.1608 0.3392 0.1280
```

Principal peaks in the range 5° ≤ 2θ ≤ 70°, in order of rising 2θ:
25.73°, I 100, hkl 1 1 2
28.42°, I 28, hkl 2 0 0
40.62°, I 17, hkl 2 2 0
43.62°, I 31, hkl 2 0 4
48.71°, I 35, hkl 3 1 2
52.89°, I 12, hkl 2 2 4
53.87°, I 13, hkl 1 1 6
66.58°, I 8, hkl 4 2 0
68.75°, I 8, hkl 4 0 4
69.59°, I 11, hkl 3 1 6


(4)
Simulated powder X-ray diffraction pattern of Ba2PdF6 for Cu Kα, from a structure optimized by DFT (PBE).
Intensities are scaled so that the largest is 100.

Atomic structure:
```
data_Ba2PdF6
_cell_length_a 17.3317
_cell_length_b 6.3014
_cell_length_c 6.2964
_cell_angle_alpha 90.00
_cell_angle_beta 90.00
_cell_angle_gamma 90.00
_symmetry_space_group_name_H-M 'C m c e'
_symmetry_Int_Tables_number 64
_symmetry_space_group_name_Hall '-C 2ac 2'
loop_
_atom_site_label
_atom_site_fract_x
_atom_site_fract_y
_atom_site_fract_z
Ba1 0.1605 0.0000 0.0000
Pd1 0.0000 0.0000 0.5000
F1 0.0829 0.1572 0.3422
F2 0.2500 0.2431 0.7500
```

Principal peaks in the range 5° ≤ 2θ ≤ 70°, in order of rising 2θ:
25.25°, I 100, hkl 3 1 1
28.34°, I 24, hkl 0 2 0
30.96°, I 6, hkl 6 0 0
40.51°, I 18, hkl 0 2 2
42.46°, I 34, hkl 6 0 2
48.33°, I 34, hkl 3 3 1
51.72°, I 13, hkl 9 1 1
51.84°, I 10, hkl 6 2 2
64.84°, I 7, hkl 3 3 3
67.69°, I 15, hkl 6 4 0


(5)
Simulated powder X-ray diffraction pattern of Ba3PtF12 for Cu Kα, from a structure optimized by DFT (PBE).
Intensities are scaled so that the largest is 100.

Atomic structure:
```
data_Ba3PtF12
_cell_length_a 7.8718
_cell_length_b 13.5517
_cell_length_c 7.1048
_cell_angle_alpha 90.00
_cell_angle_beta 92.84
_cell_angle_gamma 90.00
_symmetry_space_group_name_H-M 'C 1 2/m 1'
_symmetry_Int_Tables_number 12
_symmetry_space_group_name_Hall '-C 2y'
loop_
_atom_site_label
_atom_site_fract_x
_atom_site_fract_y
_atom_site_fract_z
Ba1 0.0000 0.0000 0.0000
Ba2 0.2500 0.2500 0.5000
Pt1 0.0000 0.0000 0.5000
F1 0.0121 0.3190 0.6972
F2 0.0678 0.1015 0.6920
F3 0.1847 0.2713 0.9151
```

Principal peaks in the range 5° ≤ 2θ ≤ 70°, in order of rising 2θ:
12.47°, I 43, hkl 0 0 1
13.02°, I 100, hkl 1 1 0
22.70°, I 38, hkl 1 3 0
25.10°, I 23, hkl 0 0 2
26.24°, I 87, hkl 2 2 0
27.86°, I 15, hkl 1 1 -2
35.79°, I 35, hkl 2 2 -2
36.68°, I 31, hkl 0 4 2
37.41°, I 22, hkl 2 2 2
46.36°, I 15, hkl 2 6 0


(6)
Simulated powder X-ray diffraction pattern of Ba3RhF12 for Cu Kα, from a structure optimized by DFT (PBE).
Intensities are scaled so that the largest is 100.

Atomic structure:
```
data_Ba3RhF12
_cell_length_a 8.0591
_cell_length_b 14.9831
_cell_length_c 6.6766
_cell_angle_alpha 90.00
_cell_angle_beta 111.65
_cell_angle_gamma 90.00
_symmetry_space_group_name_H-M 'C 1 2/m 1'
_symmetry_Int_Tables_number 12
_symmetry_space_group_name_Hall '-C 2y'
loop_
_atom_site_label
_atom_site_fract_x
_atom_site_fract_y
_atom_site_fract_z
Ba1 0.0000 0.0000 0.0000
Ba2 0.2500 0.2500 0.5000
Rh1 0.0000 0.0000 0.5000
F1 0.0681 0.2746 0.7462
F2 0.1555 0.0789 0.7436
F3 0.1575 0.0773 0.3914
```

Principal peaks in the range 5° ≤ 2θ ≤ 70°, in order of rising 2θ:
13.21°, I 100, hkl 1 1 0
14.27°, I 42, hkl 0 0 1
18.57°, I 30, hkl 0 2 1
21.38°, I 27, hkl 1 3 0
23.75°, I 34, hkl 0 4 0
26.61°, I 34, hkl 2 2 0
32.20°, I 45, hkl 2 2 -2
37.64°, I 17, hkl 0 4 2
45.96°, I 16, hkl 2 2 2
47.41°, I 18, hkl 2 6 -2


(7)
Simulated powder X-ray diffraction pattern of BaSb2F12 for Cu Kα, from a structure optimized by DFT (PBE).
Intensities are scaled so that the largest is 100.

Atomic structure:
```
data_BaSb2F12
_cell_length_a 5.7396
_cell_length_b 5.7460
_cell_length_c 9.4368
_cell_angle_alpha 97.51
_cell_angle_beta 95.16
_cell_angle_gamma 118.42
_symmetry_space_group_name_H-M 'P 1'
_symmetry_Int_Tables_number 1
_symmetry_space_group_name_Hall 'P 1'
loop_
_atom_site_label
_atom_site_fract_x
_atom_site_fract_y
_atom_site_fract_z
Ba1 0.0000 0.0000 0.0000
Sb1 0.2324 0.5357 0.6645
Sb2 0.3886 0.7305 0.2140
F1 0.0547 0.5540 0.0698
F2 0.0789 0.2805 0.7930
F3 0.1364 0.7664 0.7878
F4 0.2187 0.4177 0.2957
F5 0.2458 0.9395 0.3002
F6 0.3462 0.3067 0.5712
F7 0.4030 0.8118 0.5581
F8 0.5024 0.5243 0.0844
F9 0.5275 0.9961 0.0884
F10 0.5663 0.7082 0.8064
F11 0.7343 0.9013 0.3276
F12 0.8945 0.3803 0.5430
```

Principal peaks in the range 5° ≤ 2θ ≤ 70°, in order of rising 2θ:
9.60°, I 33, hkl 0 0 1
17.86°, I 100, hkl 1 0 0
17.99°, I 74, hkl 1 -1 0
19.27°, I 30, hkl 0 0 2
21.75°, I 30, hkl 1 0 1
21.99°, I 47, hkl 0 1 1
23.63°, I 51, hkl 0 1 -2
23.94°, I 57, hkl 1 0 -2
26.15°, I 38, hkl 1 -1 2
41.97°, I 31, hkl -2 2 2